The following is a computed PXRD pattern of Tb5TmS6. It was derived from a crystal structure in Alexandria, relaxed with GGA-PBE, using Cu Kα, 1.54184 Å.
Lines closer than 0.1° are merged.

Cell and atoms:
```
data_Tb5TmS6
_cell_length_a 6.7750
_cell_length_b 11.7639
_cell_length_c 6.7666
_cell_angle_alpha 90.00
_cell_angle_beta 109.66
_cell_angle_gamma 90.00
_space_group_name_H-M_alt 'C 1 2/m 1'
_space_group_IT_number 12
loop_
_space_group_symop_operation_xyz
'x,y,z'
'-x,-y,-z'
'-x,y,-z'
'x,-y,z'
'x+1/2,y+1/2,z'
'-x+1/2,-y+1/2,-z'
'-x+1/2,y+1/2,-z'
'x+1/2,-y+1/2,z'
loop_
_atom_site_label
_atom_site_type_symbol
_atom_site_fract_x
_atom_site_fract_y
_atom_site_fract_z
_atom_site_occupancy
Tb1 Tb 0.0000 0.0000 0.0000 1
Tb2 Tb 0.0000 0.1674 0.5000 1
Tb3 Tb 0.0000 0.3307 0.0000 1
Tm1 Tm 0.0000 0.5000 0.5000 1
S1 S 0.2465 0.3360 0.7467 1
S2 S 0.2457 0.5000 0.2517 1
```

The 6 most intense peaks (10° ≤ 2θ ≤ 80°), sorted by position:
2θ 27.9, I 41.1
2θ 28.0, I 40.8
2θ 32.4, I 100.0
2θ 46.4, I 36.1
2θ 46.4, I 24.0
2θ 55.0, I 23.3